# CeMn2Ga2P
Calculated PXRD pattern, Cu Kα (weighted mean of Kα1 and Kα2). Input: a crystal structure in Alexandria, relaxed with GGA-PBE.
Peak positions follow from Bragg's law for the DFT cell and can differ from measured ones.

Structural model:
abc: 4.2236 4.2236 5.6053
angles: 90.00 90.00 90.00
Fractional positions:
Ce 0.0000 0.0000 0.0000
Mn 0.0000 0.5000 0.5000
Mn 0.5000 0.0000 0.5000
Ga 0.5000 0.5000 0.2318
Ga 0.5000 0.5000 0.7682
P 0.0000 0.0000 0.5000

Largest 10 diffraction maxima, by angle, 10° ≤ 2θ ≤ 80°:
2θ 26.42, rel. 23; 2θ 29.92, rel. 42; 2θ 34.01, rel. 82; 2θ 38.55, rel. 100; 2θ 42.82, rel. 69; 2θ 53.64, rel. 10; 2θ 58.97, rel. 56; 2θ 62.16, rel. 22; 2θ 72.79, rel. 16; 2θ 75.58, rel. 13

# NdSm3Th2
Calculated PXRD pattern, Cu Kα (weighted mean of Kα1 and Kα2). Input: a crystal structure in Alexandria, relaxed with GGA-PBE.
Peak positions follow from Bragg's law for the DFT cell and can differ from measured ones.

Structural model:
abc: 8.0768 8.0768 5.1418
angles: 90.00 90.00 143.26
Fractional positions:
Nd 0.0000 0.0000 0.0000
Sm 0.3302 0.6698 0.0000
Sm 0.5000 0.5000 0.5000
Sm 0.6698 0.3302 0.0000
Th 0.1692 0.8308 0.5000
Th 0.8308 0.1692 0.5000

Largest 10 diffraction maxima, by angle, 10° ≤ 2θ ≤ 80°:
2θ 30.27, rel. 100; 2θ 34.90, rel. 17; 2θ 35.12, rel. 17; 2θ 35.26, rel. 17; 2θ 50.35, rel. 12; 2θ 50.45, rel. 12; 2θ 59.74, rel. 15; 2θ 60.03, rel. 14; 2θ 60.21, rel. 15; 2θ 62.96, rel. 13

# BaAl2Sn8
Calculated PXRD pattern, Cu Kα (weighted mean of Kα1 and Kα2). Input: a crystal structure in Alexandria, relaxed with GGA-PBE.
Peak positions follow from Bragg's law for the DFT cell and can differ from measured ones.

Structural model:
abc: 6.7554 6.7554 8.4526
angles: 90.00 90.00 90.00
Fractional positions:
Ba 0.0000 0.0000 0.0000
Al 0.0000 0.5000 0.5000
Al 0.5000 0.0000 0.5000
Sn 0.2598 0.2598 0.3112
Sn 0.2598 0.2598 0.6888
Sn 0.2598 0.7402 0.3112
Sn 0.2598 0.7402 0.6888
Sn 0.7402 0.2598 0.3112
Sn 0.7402 0.2598 0.6888
Sn 0.7402 0.7402 0.3112
Sn 0.7402 0.7402 0.6888

Largest 10 diffraction maxima, by angle, 10° ≤ 2θ ≤ 80°:
2θ 10.47, rel. 43; 2θ 26.39, rel. 74; 2θ 28.46, rel. 39; 2θ 31.76, rel. 36; 2θ 33.98, rel. 100; 2θ 37.66, rel. 64; 2θ 41.75, rel. 48; 2θ 50.07, rel. 40; 2θ 61.34, rel. 38; 2θ 65.64, rel. 29

# Rb3PtBr
Calculated PXRD pattern, Cu Kα (weighted mean of Kα1 and Kα2). Input: a crystal structure in Alexandria, relaxed with GGA-PBE.
Peak positions follow from Bragg's law for the DFT cell and can differ from measured ones.

Structural model:
abc: 6.3220 6.3220 6.3220
angles: 90.00 90.00 90.00
Fractional positions:
Rb 0.0000 0.0000 0.5000
Rb 0.0000 0.5000 0.0000
Rb 0.5000 0.0000 0.0000
Pt 0.0000 0.0000 0.0000
Br 0.5000 0.5000 0.5000

Largest 10 diffraction maxima, by angle, 10° ≤ 2θ ≤ 80°:
2θ 14.01, rel. 68; 2θ 19.86, rel. 57; 2θ 28.23, rel. 100; 2θ 31.65, rel. 40; 2θ 34.76, rel. 28; 2θ 40.35, rel. 76; 2θ 42.92, rel. 22; 2θ 49.98, rel. 27; 2θ 66.10, rel. 35; 2θ 73.37, rel. 26

# Nd12Dy7Ho
Calculated PXRD pattern, Cu Kα (weighted mean of Kα1 and Kα2). Input: a crystal structure in Alexandria, relaxed with GGA-PBE.
Peak positions follow from Bragg's law for the DFT cell and can differ from measured ones.

Structural model:
abc: 11.5434 11.5434 11.5434
angles: 116.83 116.83 116.83
Fractional positions:
Nd 0.0000 0.4123 0.5877
Nd 0.0000 0.5877 0.4123
Nd 0.0844 0.0844 0.4378
Nd 0.0844 0.4378 0.0844
Nd 0.4123 0.0000 0.5877
Nd 0.4123 0.5877 0.0000
Nd 0.4378 0.0844 0.0844
Nd 0.5622 0.9156 0.9156
Nd 0.5877 0.0000 0.4123
Nd 0.5877 0.4123 0.0000
Nd 0.9156 0.5622 0.9156
Nd 0.9156 0.9156 0.5622
Dy 0.0000 0.0000 0.0000
Dy 0.1304 0.3751 0.3751
Dy 0.3751 0.1304 0.3751
Dy 0.3751 0.3751 0.1304
Dy 0.6249 0.6249 0.8696
Dy 0.6249 0.8696 0.6249
Dy 0.8696 0.6249 0.6249
Ho 0.5000 0.5000 0.5000

Largest 10 diffraction maxima, by angle, 10° ≤ 2θ ≤ 80°:
2θ 27.21, rel. 44; 2θ 29.89, rel. 100; 2θ 30.52, rel. 43; 2θ 32.60, rel. 47; 2θ 32.84, rel. 46; 2θ 34.45, rel. 26; 2θ 39.16, rel. 40; 2θ 39.76, rel. 26; 2θ 46.16, rel. 26; 2θ 47.39, rel. 26

# Sr6Pb23
Calculated PXRD pattern, Cu Kα (weighted mean of Kα1 and Kα2). Input: a crystal structure in Alexandria, relaxed with GGA-PBE.
Peak positions follow from Bragg's law for the DFT cell and can differ from measured ones.

Structural model:
abc: 11.2862 11.2862 11.2862
angles: 60.00 60.00 60.00
Fractional positions:
Sr 0.2181 0.2181 0.7819
Sr 0.2181 0.7819 0.2181
Sr 0.2181 0.7819 0.7819
Sr 0.7819 0.2181 0.2181
Sr 0.7819 0.2181 0.7819
Sr 0.7819 0.7819 0.2181
Pb 0.0000 0.0000 0.5000
Pb 0.0000 0.5000 0.0000
Pb 0.0000 0.5000 0.5000
Pb 0.1410 0.6197 0.6197
Pb 0.1690 0.1690 0.1690
Pb 0.1690 0.1690 0.4931
Pb 0.1690 0.4931 0.1690
Pb 0.3803 0.3803 0.3803
Pb 0.3803 0.3803 0.8590
Pb 0.3803 0.8590 0.3803
Pb 0.4931 0.1690 0.1690
Pb 0.5000 0.0000 0.0000
Pb 0.5000 0.0000 0.5000
Pb 0.5000 0.5000 0.0000
Pb 0.5000 0.5000 0.5000
Pb 0.5069 0.8310 0.8310
Pb 0.6197 0.1410 0.6197
Pb 0.6197 0.6197 0.1410
Pb 0.6197 0.6197 0.6197
Pb 0.8310 0.5069 0.8310
Pb 0.8310 0.8310 0.5069
Pb 0.8310 0.8310 0.8310
Pb 0.8590 0.3803 0.3803

Largest 10 diffraction maxima, by angle, 10° ≤ 2θ ≤ 80°:
2θ 11.09, rel. 22; 2θ 29.07, rel. 33; 2θ 31.71, rel. 100; 2θ 33.21, rel. 35; 2θ 35.57, rel. 13; 2θ 36.93, rel. 13; 2θ 37.37, rel. 20; 2θ 52.21, rel. 14; 2θ 56.49, rel. 26; 2θ 57.45, rel. 18